[1]
Calculated XRD peak list of Li3PO4 for Cu Kα, from a structure optimized by DFT (GGA-PBE).
Peak positions follow from Bragg's law for the DFT cell and can differ from measured ones.

Peak list (10 most intense, 2θ from 5° to 70°, sorted by position)
2θ (°), I/Imax, index
16.70, 258, 2 0 0
22.08, 1000, 2 1 0
22.88, 907, 0 1 1
24.44, 687, 2 0 1
33.57, 626, 2 2 0
33.78, 303, 4 0 0
34.27, 314, 3 1 1
35.91, 507, 0 0 2
49.98, 158, 2 2 2
60.29, 261, 6 2 0

Crystal structure
abc: 10.6150 6.1768 5.0011
angles: 90.00 90.00 90.00
Space group Pnma (No. 62)
Symmetry-distinct sites (fractional):
Li (0.0747, 0.2500, 0.2031) [4 per cell]
Li (0.1636, 0.5017, 0.8021) [8 per cell]
P (0.0888, 0.7500, 0.3063) [4 per cell]
O (0.0493, 0.2500, 0.7972) [4 per cell]
O (0.0896, 0.7500, 0.6183) [4 per cell]
O (0.1586, 0.5438, 0.2037) [8 per cell]

---

[2]
Calculated XRD peak list of Li8PO3 for Cu Kα, from a structure optimized by DFT (GGA-PBE).
Peak positions follow from Bragg's law for the DFT cell and can differ from measured ones.

Peak list (10 most intense, 2θ from 5° to 70°, sorted by position)
2θ (°), I/Imax, index
17.62, 47, 1 0 0
25.02, 80, 1 1 0
30.76, 1000, 1 1 1
35.67, 119, 2 0 0
40.05, 69, 2 1 0
44.06, 31, 2 1 1
51.33, 644, 2 2 0
54.70, 27, 3 0 0
61.05, 286, 3 1 1
69.92, 27, 3 2 1

Crystal structure
abc: 5.0341 5.0341 5.0341
angles: 90.00 90.00 90.00
Space group Pm-3m (No. 221)
Symmetry-distinct sites (fractional):
Li (0.2339, 0.2339, 0.2339) [8 per cell]
P (0.5000, 0.5000, 0.5000) [1 per cell]
O (0.0000, 0.0000, 0.5000) [3 per cell]

---

[3]
Calculated XRD peak list of LiPPbO4 for Cu Kα, from a structure optimized by DFT (GGA-PBE).
Peak positions follow from Bragg's law for the DFT cell and can differ from measured ones.

Peak list (10 most intense, 2θ from 5° to 70°, sorted by position)
2θ (°), I/Imax, index
18.23, 996, 0 1 1
18.79, 298, 0 4 0
22.39, 305, 2 1 0
23.85, 539, 2 2 0
25.16, 308, 1 3 1
28.17, 941, 2 0 1
28.63, 312, 2 1 1
29.56, 1000, 0 5 1
31.67, 995, 2 3 1
43.34, 318, 2 2 2

Crystal structure
abc: 8.1217 18.8861 5.0377
angles: 90.00 90.00 90.00
Space group Pna2_1 (No. 33)
Symmetry-distinct sites (fractional):
Li (0.0107, 0.0567, 0.0000) [4 per cell]
Li (0.1772, 0.6512, 0.4995) [4 per cell]
P (0.2127, 0.3203, 0.9934) [4 per cell]
P (0.2326, 0.0709, 0.4964) [4 per cell]
Pb (0.0327, 0.2288, 0.5386) [4 per cell]
Pb (0.1728, 0.4457, 0.5589) [4 per cell]
O (0.0546, 0.3524, 0.8619) [4 per cell]
O (0.0856, 0.0323, 0.3649) [4 per cell]
O (0.1065, 0.5284, 0.9193) [4 per cell]
O (0.1361, 0.8649, 0.4118) [4 per cell]
O (0.1945, 0.3178, 0.3007) [4 per cell]
O (0.2165, 0.0731, 0.8023) [4 per cell]
O (0.2310, 0.2430, 0.8831) [4 per cell]
O (0.2482, 0.1476, 0.3821) [4 per cell]

---

[4]
Calculated XRD peak list of LiP3PbO9 for Cu Kα, from a structure optimized by DFT (GGA-PBE).
Peak positions follow from Bragg's law for the DFT cell and can differ from measured ones.

Peak list (10 most intense, 2θ from 5° to 70°, sorted by position)
2θ (°), I/Imax, index
12.00, 316, 0 0 1
13.21, 1000, 1 0 0
16.33, 280, 0 1 1
22.63, 308, 1 1 -1
24.52, 488, 0 2 0
26.43, 627, 1 2 0
26.65, 616, 1 1 2
28.09, 400, 0 1 -2
31.13, 351, 2 0 -1
41.68, 254, 2 0 3

Crystal structure
abc: 6.8679 7.3616 7.5304
angles: 83.64 79.48 82.01
Space group P-1 (No. 2)
Symmetry-distinct sites (fractional):
Li (0.0420, 0.1727, 0.1696) [2 per cell]
P (0.0853, 0.6150, 0.2182) [2 per cell]
P (0.2673, 0.8427, 0.4399) [2 per cell]
P (0.3488, 0.2821, 0.7711) [2 per cell]
Pb (0.4746, 0.7691, 0.8485) [2 per cell]
O (0.1251, 0.7478, 0.0516) [2 per cell]
O (0.1419, 0.4125, 0.2053) [2 per cell]
O (0.1497, 0.3506, 0.6908) [2 per cell]
O (0.1780, 0.6701, 0.3845) [2 per cell]
O (0.2067, 0.8505, 0.6414) [2 per cell]
O (0.2353, 0.0101, 0.3116) [2 per cell]
O (0.3248, 0.1158, 0.9070) [2 per cell]
O (0.4304, 0.4354, 0.8401) [2 per cell]
O (0.4921, 0.2271, 0.5836) [2 per cell]